1.
Simulated powder diffraction line list
Compound: Tb10CePr6
Radiation: Cu Kα, 1.54184 Å
Structure: a cell relaxed with PBE

Structural model:
Cell: 9.5631 9.5631 7.1908 Å, 101.84 101.84 106.49°
Atoms (fractional coordinates):
Tb: 0.1562 0.4990 0.1732
Tb: 0.1645 0.8355 0.0000
Tb: 0.1651 0.8349 0.5000
Tb: 0.1679 0.1679 0.8402
Tb: 0.4990 0.1562 0.1732
Tb: 0.5010 0.8438 0.8268
Tb: 0.8321 0.8321 0.1598
Tb: 0.8349 0.1651 0.5000
Tb: 0.8355 0.1645 0.0000
Tb: 0.8438 0.5010 0.8268
Ce: 0.5000 0.5000 0.5000
Pr: 0.1668 0.1668 0.3345
Pr: 0.1735 0.5039 0.6724
Pr: 0.4961 0.8265 0.3276
Pr: 0.5039 0.1735 0.6724
Pr: 0.8265 0.4961 0.3276
Pr: 0.8332 0.8332 0.6655

Main lines, by angle (10° ≤ 2θ ≤ 90°):
30.41°, d 2.939, I = 100; 30.47°, d 2.934, I = 99; 34.81°, d 2.577, I = 35; 35.13°, d 2.554, I = 35; 35.93°, d 2.500, I = 32; 60.15°, d 1.538, I = 28

=====

2.
Simulated powder diffraction line list
Compound: TaInNiC
Radiation: Cu Kα, 1.54184 Å
Structure: a cell relaxed with PBE

Structural model:
Cell: 3.1214 3.0204 12.3273 Å, 90.00 90.00 90.00°
Atoms (fractional coordinates):
Ta: 0.0000 0.0000 0.0000
Ta: 0.0000 0.5000 0.5000
In: 0.0000 0.0000 0.7246
In: 0.0000 0.5000 0.2246
Ni: 0.5000 0.0000 0.3535
Ni: 0.5000 0.5000 0.8535
C: 0.5000 0.0000 0.5130
C: 0.5000 0.5000 0.0130

Main lines, by angle (10° ≤ 2θ ≤ 90°):
28.60°, d 3.121, I = 48; 28.97°, d 3.082, I = 51; 36.94°, d 2.434, I = 98; 41.16°, d 2.193, I = 85; 42.28°, d 2.138, I = 100; 68.63°, d 1.368, I = 41

=====

3.
Simulated powder diffraction line list
Compound: SrNpInO6
Radiation: Cu Kα, 1.54184 Å
Structure: a cell relaxed with PBE

Structural model:
Cell: 5.6030 5.6030 10.7436 Å, 90.00 90.00 120.00°
Atoms (fractional coordinates):
Sr: 0.0000 0.0000 0.0000
Sr: 0.0000 0.0000 0.5000
Np: 0.3333 0.6667 0.2500
Np: 0.6667 0.3333 0.7500
In: 0.3333 0.6667 0.7500
In: 0.6667 0.3333 0.2500
O: 0.0221 0.3754 0.1441
O: 0.0221 0.6467 0.3559
O: 0.3533 0.3754 0.3559
O: 0.3533 0.9779 0.1441
O: 0.3754 0.0221 0.6441
O: 0.3754 0.3533 0.8559
O: 0.6246 0.6467 0.1441
O: 0.6246 0.9779 0.3559
O: 0.6467 0.0221 0.8559
O: 0.6467 0.6246 0.6441
O: 0.9779 0.3533 0.6441
O: 0.9779 0.6246 0.8559

Main lines, by angle (10° ≤ 2θ ≤ 90°):
16.50°, d 5.372, I = 49; 24.73°, d 3.601, I = 100; 31.95°, d 2.801, I = 56; 36.16°, d 2.484, I = 36; 40.81°, d 2.211, I = 25; 46.86°, d 1.939, I = 58